CaAc12Sm7: simulated XRD peak list (Cu Kα (weighted mean of Kα1 and Kα2)), based on the GGA-PBE geometry in Alexandria.

Most intense lines, 2θ from 15° to 90°, sorted by position:
two_theta	d_spacing	I_rel	h k l
22.92	3.881	48	3 1 0
25.14	3.543	83	2 2 2
27.19	3.280	49	3 1 2
29.11	3.068	100	4 0 0
32.63	2.744	24	4 2 0
37.36	2.407	23	5 1 0
41.63	2.169	50	4 4 0
42.97	2.105	31	5 0 3
45.57	1.991	46	5 3 2
52.74	1.736	28	5 4 3
64.42	1.446	25	8 2 2
67.39	1.390	21	7 2 5

Crystal structure
```
data_CaAc12Sm7
_chemical_formula_sum 'Ca2 Ac24 Sm14'
_symmetry_space_group_name_H-M 'I m -3'
_symmetry_Int_Tables_number 204
_symmetry_space_group_name_Hall '-I 2 2 3'
_cell_length_a 12.2720
_cell_length_b 12.2720
_cell_length_c 12.2720
_cell_angle_alpha 90.00
_cell_angle_beta 90.00
_cell_angle_gamma 90.00
loop_
_atom_site_label
_atom_site_type_symbol
_atom_site_fract_x
_atom_site_fract_y
_atom_site_fract_z
_atom_site_occupancy
Ca1 Ca 0.0000 0.0000 0.0000 1
Ac1 Ac 0.0000 0.2192 0.2937 1
Sm1 Sm 0.0000 0.0000 0.5000 1
Sm2 Sm 0.2500 0.2500 0.2500 1
```

=====

ZnGa2SiAs4: simulated XRD peak list (Cu Kα (weighted mean of Kα1 and Kα2)), based on the GGA-PBE geometry in Alexandria.

Most intense lines, 2θ from 15° to 90°, sorted by position:
two_theta	d_spacing	I_rel	h k l
27.17	3.282	100	2 0 2
44.89	2.019	25	4 0 0
45.22	2.005	48	2 2 4
53.26	1.720	30	4 2 2
53.84	1.703	14	2 0 6
65.35	1.428	8	4 4 0
66.38	1.408	4	0 0 8
72.14	1.309	6	6 0 2
72.63	1.302	11	4 2 6
83.02	1.163	16	6 2 4
83.73	1.155	8	4 0 8
89.13	1.099	7	6 4 2

Crystal structure
```
data_ZnGa2SiAs4
_chemical_formula_sum 'Zn4 Ga8 Si4 As16'
_symmetry_space_group_name_H-M 'F m m 2'
_symmetry_Int_Tables_number 42
_symmetry_space_group_name_Hall 'F 2 -2'
_cell_length_a 8.0771
_cell_length_b 8.0781
_cell_length_c 11.2659
_cell_angle_alpha 90.00
_cell_angle_beta 90.00
_cell_angle_gamma 90.00
loop_
_atom_site_label
_atom_site_type_symbol
_atom_site_fract_x
_atom_site_fract_y
_atom_site_fract_z
_atom_site_occupancy
Zn1 Zn 0.0000 0.0000 0.0000 1
Ga1 Ga 0.2500 0.2500 0.2505 1
Si1 Si 0.0000 0.0000 0.5004 1
As1 As 0.0000 0.2434 0.6219 1
As2 As 0.2432 0.0000 0.3788 1
```

=====

GaH13C4N2: simulated XRD peak list (Cu Kα (weighted mean of Kα1 and Kα2)), based on the GGA-PBE geometry in Alexandria.

Most intense lines, 2θ from 15° to 90°, sorted by position:
two_theta	d_spacing	I_rel	h k l
15.56	5.696	100	1 0 1
16.83	5.267	93	0 1 -1
17.20	5.155	87	1 1 0
19.96	4.449	20	1 0 -1
21.13	4.204	19	1 -1 0
22.28	3.991	37	1 -1 1
22.41	3.967	20	1 1 -1
26.26	3.393	31	1 2 1
28.01	3.186	23	0 2 -1
30.52	2.929	21	1 2 -1
30.92	2.892	38	1 0 3
34.02	2.635	38	0 2 -2

Crystal structure
```
data_GaH13C4N2
_chemical_formula_sum 'Ga2 H26 C8 N4'
_symmetry_space_group_name_H-M 'P -1'
_symmetry_Int_Tables_number 2
_symmetry_space_group_name_Hall '-P 1'
_cell_length_a 6.4590
_cell_length_b 7.2905
_cell_length_c 8.9700
_cell_angle_alpha 82.21
_cell_angle_beta 73.80
_cell_angle_gamma 76.62
loop_
_atom_site_label
_atom_site_type_symbol
_atom_site_fract_x
_atom_site_fract_y
_atom_site_fract_z
_atom_site_occupancy
Ga1 Ga 0.0455 0.0921 0.1220 1
H1 H 0.0899 0.2482 0.3812 1
H2 H 0.1373 0.8308 0.4822 1
H3 H 0.1637 0.5892 0.5555 1
H4 H 0.1841 0.2321 0.6743 1
H5 H 0.1892 0.5467 0.0659 1
H6 H 0.2066 0.3699 0.8168 1
H7 H 0.2153 0.6547 0.2249 1
H8 H 0.2912 0.0825 0.1186 1
H9 H 0.3439 0.1275 0.8087 1
H10 H 0.3497 0.7249 0.0309 1
H11 H 0.4520 0.7887 0.7785 1
H12 H 0.4614 0.8520 0.5785 1
H13 H 0.4840 0.6108 0.6518 1
C1 C 0.0902 0.7360 0.5885 1
C2 C 0.1934 0.2278 0.7957 1
C3 C 0.1995 0.6812 0.1041 1
C4 C 0.3981 0.7570 0.6807 1
N1 N 0.0031 0.8289 0.0945 1
N2 N 0.1617 0.7765 0.7179 1
```

=====

Na2AlGe7O16: simulated XRD peak list (Cu Kα (weighted mean of Kα1 and Kα2)), based on the GGA-PBE geometry in Alexandria.

Most intense lines, 2θ from 15° to 90°, sorted by position:
two_theta	d_spacing	I_rel	h k l
20.97	4.236	70	-1 1 1
21.74	4.088	14	1 0 1
22.45	3.960	56	1 1 0
23.11	3.849	20	0 2 -1
24.84	3.585	14	2 0 -1
26.24	3.397	100	-2 1 1
26.41	3.375	72	2 0 0
27.07	3.294	16	0 2 0
28.64	3.117	16	1 -2 2
33.68	2.661	22	1 -3 1
33.92	2.642	20	1 1 -3
48.24	1.887	19	-4 1 1

Crystal structure
```
data_Na2AlGe7O16
_chemical_formula_sum 'Na2 Al1 Ge7 O16'
_symmetry_space_group_name_H-M 'P 1'
_symmetry_Int_Tables_number 1
_symmetry_space_group_name_Hall 'P 1'
_cell_length_a 7.5576
_cell_length_b 8.0440
_cell_length_c 8.0478
_cell_angle_alpha 115.83
_cell_angle_beta 100.94
_cell_angle_gamma 106.50
loop_
_atom_site_label
_atom_site_type_symbol
_atom_site_fract_x
_atom_site_fract_y
_atom_site_fract_z
_atom_site_occupancy
Na1 Na 0.0000 0.0000 0.0000 1
Na2 Na 0.2422 0.5221 0.5001 1
Al1 Al 0.3282 0.4209 0.0956 1
Ge1 Ge 0.3490 0.0803 0.4436 1
Ge2 Ge 0.4338 0.0459 0.8267 1
Ge3 Ge 0.4694 0.8111 0.0509 1
Ge4 Ge 0.7559 0.6864 0.4543 1
Ge5 Ge 0.7981 0.4639 0.6894 1
Ge6 Ge 0.8931 0.4284 0.0752 1
Ge7 Ge 0.8982 0.0774 0.4102 1
O1 O 0.0993 0.3765 0.1335 1
O2 O 0.1339 0.1274 0.3795 1
O3 O 0.3032 0.1702 0.9493 1
O4 O 0.3365 0.9381 0.5636 1
O5 O 0.3656 0.9552 0.2080 1
O6 O 0.3833 0.5581 0.9797 1
O7 O 0.3919 0.8148 0.8276 1
O8 O 0.4996 0.5484 0.3415 1
O9 O 0.5371 0.3312 0.6085 1
O10 O 0.6951 0.1828 0.9253 1
O11 O 0.7361 0.9387 0.1548 1
O12 O 0.8344 0.9521 0.5399 1
O13 O 0.8429 0.6933 0.6828 1
O14 O 0.8941 0.5883 0.3122 1
O15 O 0.9138 0.5637 0.9479 1
O16 O 0.9183 0.3332 0.5405 1
```

=====

Pm5Ho12Tm2: simulated XRD peak list (Cu Kα (weighted mean of Kα1 and Kα2)), based on the GGA-PBE geometry in Alexandria.

Most intense lines, 2θ from 15° to 90°, sorted by position:
two_theta	d_spacing	I_rel	h k l
27.30	3.267	23	1 -2 1
28.38	3.145	20	0 3 2
30.01	2.978	21	2 0 0
31.02	2.883	49	2 1 1
31.32	2.856	100	1 0 -3
31.68	2.824	74	0 3 3
32.43	2.761	56	1 -2 2
32.63	2.744	38	2 1 2
33.28	2.692	69	1 3 0
33.83	2.650	42	1 1 4
35.97	2.497	32	-2 2 1
50.82	1.797	20	2 4 4

Crystal structure
```
data_Pm5Ho12Tm2
_chemical_formula_sum 'Pm5 Ho12 Tm2'
_symmetry_space_group_name_H-M 'P -1'
_symmetry_Int_Tables_number 2
_symmetry_space_group_name_Hall '-P 1'
_cell_length_a 6.0018
_cell_length_b 9.7446
_cell_length_c 11.2214
_cell_angle_alpha 70.03
_cell_angle_beta 82.75
_cell_angle_gamma 88.69
loop_
_atom_site_label
_atom_site_type_symbol
_atom_site_fract_x
_atom_site_fract_y
_atom_site_fract_z
_atom_site_occupancy
Pm1 Pm 0.0000 0.0000 0.0000 1
Pm2 Pm 0.0992 0.9641 0.3451 1
Pm3 Pm 0.4964 0.4568 0.1675 1
Ho1 Ho 0.0397 0.6823 0.6582 1
Ho2 Ho 0.0697 0.3170 0.0388 1
Ho3 Ho 0.1641 0.3166 0.7240 1
Ho4 Ho 0.3869 0.9022 0.7886 1
Ho5 Ho 0.4292 0.8222 0.1087 1
Ho6 Ho 0.4299 0.1829 0.4863 1
Tm1 Tm 0.2831 0.5653 0.4216 1
```